Calculated powder diffraction line list
Compound: K4MgV6O16
Radiation: copper Kα
Structure: DFT lattice parameters and positions (PBE+U)
No peak broadening, texture or thermal motion is included.

Atomic structure:
```
data_K4MgV6O16
_space_group_name_H-M_alt 'C m m 2'
_space_group_IT_number 35
_cell_length_a 12.6423
_cell_length_b 13.2461
_cell_length_c 5.5991
_cell_angle_alpha 90.00
_cell_angle_beta 90.00
_cell_angle_gamma 90.00
loop_
_space_group_symop_operation_xyz
'x,y,z'
'-x,-y,z'
'-x,y,z'
'x,-y,z'
'x+1/2,y+1/2,z'
'-x+1/2,-y+1/2,z'
'-x+1/2,y+1/2,z'
'x+1/2,-y+1/2,z'
loop_
_atom_site_label
_atom_site_fract_x
_atom_site_fract_y
_atom_site_fract_z
K1 0.0000 0.2187 0.0000
K2 0.1753 0.5000 0.9605
Mg1 0.0000 0.0000 0.9018
V1 0.0000 0.3740 0.4534
V2 0.1373 0.0000 0.4058
V3 0.2500 0.2500 0.4306
O1 0.0000 0.0000 0.2495
O2 0.0000 0.3826 0.7518
O3 0.0000 0.5000 0.3200
O4 0.1095 0.3098 0.3456
O5 0.1274 0.0000 0.7302
O6 0.1936 0.1178 0.3141
O7 0.2500 0.2500 0.7249
```

Top 10 peaks for 2θ from 10° to 80°, by angle:
2θ (°), intensity, h k l
15.83, 61, 0 0 1
21.32, 30, 1 3 0
25.14, 52, 2 2 1
26.66, 54, 1 3 1
26.92, 24, 0 4 0
27.33, 100, 3 1 1
31.36, 31, 4 2 0
31.97, 35, 0 0 2
34.54, 40, 2 4 1
54.15, 26, 6 4 1